This entry pairs a crystal structure of Li9Mn2Co5O16 with its calculated PXRD pattern. Radiation: Cu Kα (weighted mean of Kα1 and Kα2). Structure: DFT lattice parameters and positions (GGA+U).

Crystal structure
```
data_Li9Mn2Co5O16
_space_group_name_H-M_alt 'P 1'
_space_group_IT_number 1
_cell_length_a 2.988
_cell_length_b 5.019
_cell_length_c 19.286
_cell_angle_alpha 94.13
_cell_angle_beta 91.96
_cell_angle_gamma 92.81
loop_
_space_group_symop_operation_xyz
'x,y,z'
loop_
_atom_site_label
_atom_site_fract_x
_atom_site_fract_y
_atom_site_fract_z
Li1 0.000 0.000 0.000
Li2 0.046 0.688 0.119
Li3 0.190 0.058 0.374
Li4 0.313 0.439 0.629
Li5 0.435 0.826 0.880
Li6 0.561 0.171 0.117
Li7 0.683 0.568 0.377
Li8 0.814 0.938 0.628
Li9 0.953 0.314 0.880
Mn1 0.122 0.374 0.249
Mn2 0.751 0.251 0.501
Co1 0.251 0.750 0.501
Co2 0.377 0.127 0.752
Co3 0.501 0.501 0.000
Co4 0.621 0.875 0.249
Co5 0.877 0.627 0.753
O1 0.009 0.360 0.055
O2 0.065 0.035 0.192
O3 0.183 0.715 0.307
O4 0.190 0.420 0.442
O5 0.308 0.082 0.559
O6 0.354 0.792 0.696
O7 0.395 0.462 0.807
O8 0.468 0.199 0.945
O9 0.533 0.804 0.056
O10 0.574 0.540 0.193
O11 0.676 0.207 0.308
O12 0.690 0.911 0.443
O13 0.810 0.285 0.694
O14 0.810 0.590 0.559
O15 0.943 0.968 0.810
O16 0.992 0.641 0.946
```

Peak list (10 most intense, 2θ = 5–70°, low angle first)
2θ/deg  I (rel.)  index
18.46  100.0  0 0 4
34.50  19.5  1 -1 1
36.44  12.8  1 1 -2
36.60  11.6  0 2 1
41.59  33.5  1 -1 5
44.35  26.8  1 1 -6
44.68  25.5  0 2 5
62.26  8.3  2 0 -1
62.42  8.0  1 -3 0
62.57  8.0  0 2 -11